This entry pairs a crystal structure of CrSnSeN2 with its computed powder diffraction line list. Radiation: Cu Ka. Structure: the PBE geometry in Alexandria.

Largest 6 diffraction maxima, by intensity, 10 to 90 degrees two-theta:
Position (°2θ)	I_rel
33.0	100
37.5	83
48.9	68
35.0	66
17.3	60
47.4	54

Structure:
a b c (Å): 3.8345 3.8345 5.1257
angles (deg): 90.00 90.00 90.00
Atoms (fractional coordinates):
Cr (0.0000, 0.0000, 0.0000)
Sn (0.5000, 0.5000, 0.5000)
Se (0.0000, 0.0000, 0.5000)
N (0.0000, 0.5000, 0.0000)
N (0.5000, 0.0000, 0.0000)

---

This entry pairs a crystal structure of Cr5Si2N6 with its computed powder diffraction line list. Radiation: Cu Ka. Structure: the PBE geometry in Alexandria.

Largest 6 diffraction maxima, by intensity, 10 to 90 degrees two-theta:
Position (°2θ)	I_rel
12.7	100
44.3	88
38.7	77
26.7	68
37.9	62
40.7	40

Structure:
a b c (Å): 4.7944 4.7944 14.0699
angles (deg): 95.80 95.80 63.50
Atoms (fractional coordinates):
Cr (0.0178, 0.9822, 0.7500)
Cr (0.0642, 0.6100, 0.9109)
Cr (0.3247, 0.3612, 0.2581)
Cr (0.3612, 0.3247, 0.7581)
Cr (0.3900, 0.9358, 0.5891)
Cr (0.6100, 0.0642, 0.4109)
Cr (0.6388, 0.6753, 0.2419)
Cr (0.6753, 0.6388, 0.7419)
Cr (0.9358, 0.3900, 0.0891)
Cr (0.9822, 0.0178, 0.2500)
Si (0.0509, 0.5351, 0.5893)
Si (0.4649, 0.9491, 0.9107)
Si (0.5351, 0.0509, 0.0893)
Si (0.9491, 0.4649, 0.4107)
N (0.0189, 0.2980, 0.6703)
N (0.2542, 0.2689, 0.4925)
N (0.2689, 0.2542, 0.9925)
N (0.2980, 0.0189, 0.1703)
N (0.3075, 0.6490, 0.6583)
N (0.3510, 0.6925, 0.8417)
N (0.6490, 0.3075, 0.1583)
N (0.6925, 0.3510, 0.3417)
N (0.7020, 0.9811, 0.8297)
N (0.7311, 0.7458, 0.0075)
N (0.7458, 0.7311, 0.5075)
N (0.9811, 0.7020, 0.3297)

---

This entry pairs a crystal structure of SmY2CrN4 with its computed powder diffraction line list. Radiation: Cu Ka. Structure: the PBE geometry in Alexandria.

Largest 6 diffraction maxima, by intensity, 10 to 90 degrees two-theta:
Position (°2θ)	I_rel
31.4	100
38.6	62
27.7	60
36.1	53
31.1	44
30.7	43

Structure:
a b c (Å): 6.0021 6.0021 11.6580
angles (deg): 90.00 90.00 147.10
Atoms (fractional coordinates):
Sm (0.1008, 0.8992, 0.7500)
Sm (0.8992, 0.1008, 0.2500)
Y (0.3690, 0.6310, 0.5433)
Y (0.3690, 0.6310, 0.9567)
Y (0.6310, 0.3690, 0.0433)
Y (0.6310, 0.3690, 0.4567)
Cr (0.1637, 0.8363, 0.2500)
Cr (0.8363, 0.1637, 0.7500)
N (0.0000, 0.0000, 0.0000)
N (0.0000, 0.0000, 0.5000)
N (0.2659, 0.7341, 0.1294)
N (0.2659, 0.7341, 0.3706)
N (0.4261, 0.5739, 0.7500)
N (0.5739, 0.4261, 0.2500)
N (0.7341, 0.2659, 0.6294)
N (0.7341, 0.2659, 0.8706)